Record 1
Starting from a GGA+U-relaxed structure, the powder XRD pattern of Mn5H8SO12 was computed for Cu Kα (weighted mean of Kα1 and Kα2).

Peak list (8 most intense, 2θ from 15° to 90°, low angle first)
Position (°2θ), intensity, hkl
17.15, 24, 0 1 1
18.89, 100, 0 1 -2
25.13, 37, 2 0 -1
28.02, 45, 0 1 -3
29.44, 28, -2 1 2
30.33, 63, 0 3 -1
33.65, 24, 1 -1 3
34.73, 36, 0 2 2

a = 7.290 Å, b = 9.091 Å, c = 9.811 Å
α = 107.30°, β = 103.15°, γ = 102.97°
Sites, in units of the cell vectors:
Mn (0.015, 0.310, 0.430)
Mn (0.040, 0.465, 0.778)
Mn (0.044, 0.094, 0.661)
Mn (0.214, 0.178, 0.090)
Mn (0.313, 0.878, 0.943)
Mn (0.687, 0.122, 0.057)
Mn (0.786, 0.822, 0.910)
Mn (0.956, 0.906, 0.339)
Mn (0.960, 0.535, 0.222)
Mn (0.985, 0.690, 0.570)
H (0.045, 0.977, 0.835)
H (0.083, 0.784, 0.130)
H (0.268, 0.602, 0.443)
H (0.311, 0.239, 0.375)
H (0.326, 0.658, 0.748)
H (0.383, 0.788, 0.048)
H (0.434, 0.936, 0.582)
H (0.491, 0.052, 0.345)
H (0.509, 0.948, 0.655)
H (0.566, 0.064, 0.418)
H (0.617, 0.212, 0.952)
H (0.674, 0.342, 0.252)
H (0.689, 0.761, 0.625)
H (0.732, 0.398, 0.557)
H (0.917, 0.216, 0.870)
H (0.955, 0.023, 0.165)
S (0.468, 0.410, 0.727)
S (0.532, 0.590, 0.273)
O (0.068, 0.836, 0.984)
O (0.070, 0.756, 0.221)
O (0.077, 0.900, 0.535)
O (0.128, 0.554, 0.438)
O (0.167, 0.060, 0.848)
O (0.181, 0.214, 0.301)
O (0.205, 0.682, 0.767)
O (0.238, 0.354, 0.678)
O (0.440, 0.081, 0.102)
O (0.456, 0.637, 0.147)
O (0.469, 0.408, 0.223)
O (0.483, 0.663, 0.410)
O (0.517, 0.337, 0.590)
O (0.531, 0.592, 0.777)
O (0.544, 0.363, 0.853)
O (0.560, 0.919, 0.898)
O (0.762, 0.646, 0.322)
O (0.795, 0.318, 0.233)
O (0.819, 0.786, 0.699)
O (0.833, 0.940, 0.152)
O (0.872, 0.446, 0.562)
O (0.923, 0.100, 0.465)
O (0.930, 0.244, 0.779)
O (0.932, 0.164, 0.016)

=====

Record 2
Starting from a GGA+U-relaxed structure, the powder XRD pattern of MnH6SO6 was computed for Cu Kα (weighted mean of Kα1 and Kα2).

Peak list (8 most intense, 2θ from 15° to 90°, low angle first)
Position (°2θ), intensity, hkl
15.81, 49, 1 0 0
18.65, 100, 1 1 0
22.22, 61, 0 2 1
22.57, 54, 0 1 2
26.49, 81, 1 2 -2
28.47, 58, 2 1 -2
29.31, 60, 2 1 -1
32.15, 88, 1 0 2

a = 6.727 Å, b = 8.993 Å, c = 10.521 Å
α = 90.00°, β = 123.57°, γ = 90.00°
Sites, in units of the cell vectors:
Mn (0.210, 0.244, 0.140)
Mn (0.210, 0.256, 0.640)
Mn (0.790, 0.744, 0.360)
Mn (0.790, 0.756, 0.860)
H (0.223, 0.513, 0.479)
H (0.223, 0.987, 0.979)
H (0.314, 0.695, 0.775)
H (0.314, 0.805, 0.275)
H (0.331, 0.676, 0.102)
H (0.331, 0.824, 0.602)
H (0.463, 0.546, 0.849)
H (0.463, 0.954, 0.349)
H (0.484, 0.014, 0.131)
H (0.484, 0.486, 0.631)
H (0.488, 0.678, 0.030)
H (0.488, 0.822, 0.530)
H (0.512, 0.178, 0.470)
H (0.512, 0.322, 0.970)
H (0.516, 0.514, 0.369)
H (0.516, 0.986, 0.869)
H (0.537, 0.046, 0.651)
H (0.537, 0.454, 0.151)
H (0.669, 0.176, 0.398)
H (0.669, 0.324, 0.898)
H (0.686, 0.195, 0.725)
H (0.686, 0.305, 0.225)
H (0.777, 0.013, 0.021)
H (0.777, 0.487, 0.521)
S (0.007, 0.570, 0.176)
S (0.007, 0.930, 0.676)
S (0.993, 0.070, 0.324)
S (0.993, 0.430, 0.824)
O (0.049, 0.639, 0.324)
O (0.049, 0.861, 0.824)
O (0.067, 0.700, 0.103)
O (0.067, 0.800, 0.603)
O (0.217, 0.040, 0.735)
O (0.217, 0.460, 0.235)
O (0.314, 0.046, 0.074)
O (0.314, 0.454, 0.574)
O (0.469, 0.656, 0.860)
O (0.469, 0.844, 0.360)
O (0.496, 0.661, 0.126)
O (0.496, 0.839, 0.626)
O (0.504, 0.161, 0.374)
O (0.504, 0.339, 0.874)
O (0.531, 0.156, 0.640)
O (0.531, 0.344, 0.140)
O (0.686, 0.546, 0.426)
O (0.686, 0.954, 0.926)
O (0.783, 0.540, 0.765)
O (0.783, 0.960, 0.265)
O (0.933, 0.200, 0.397)
O (0.933, 0.300, 0.897)
O (0.951, 0.139, 0.176)
O (0.951, 0.361, 0.676)

=====

Record 3
Starting from a GGA+U-relaxed structure, the powder XRD pattern of MnH2SO4 was computed for Cu Kα (weighted mean of Kα1 and Kα2).

Peak list (8 most intense, 2θ from 15° to 90°, low angle first)
Position (°2θ), intensity, hkl
23.14, 30, 1 2 -1
28.16, 49, 1 2 -2
28.27, 46, 1 3 -1
29.72, 44, 0 0 2
30.61, 36, 0 1 2
31.47, 100, 1 3 0
32.55, 41, 1 3 -2
37.95, 32, 1 4 -2

a = 4.913 Å, b = 12.378 Å, c = 7.533 Å
α = 90.00°, β = 127.06°, γ = 90.00°
Sites, in units of the cell vectors:
Mn (0.174, 0.225, 0.302)
Mn (0.174, 0.275, 0.802)
Mn (0.826, 0.725, 0.198)
Mn (0.826, 0.775, 0.698)
H (0.171, 0.604, 0.076)
H (0.171, 0.896, 0.576)
H (0.228, 0.527, 0.261)
H (0.228, 0.973, 0.761)
H (0.772, 0.027, 0.239)
H (0.772, 0.473, 0.739)
H (0.829, 0.104, 0.424)
H (0.829, 0.396, 0.924)
S (0.265, 0.605, 0.705)
S (0.265, 0.895, 0.205)
S (0.735, 0.105, 0.795)
S (0.735, 0.395, 0.295)
O (0.041, 0.177, 0.984)
O (0.041, 0.323, 0.484)
O (0.118, 0.594, 0.182)
O (0.118, 0.906, 0.682)
O (0.332, 0.663, 0.915)
O (0.332, 0.837, 0.415)
O (0.433, 0.130, 0.796)
O (0.433, 0.370, 0.296)
O (0.567, 0.630, 0.704)
O (0.567, 0.870, 0.204)
O (0.668, 0.163, 0.585)
O (0.668, 0.337, 0.085)
O (0.882, 0.094, 0.318)
O (0.882, 0.406, 0.818)
O (0.959, 0.677, 0.516)
O (0.959, 0.823, 0.016)

=====

Please write out number 1 again, unchanged.
Starting from a GGA+U-relaxed structure, the powder XRD pattern of Mn5H8SO12 was computed for Cu Kα (weighted mean of Kα1 and Kα2).

Peak list (8 most intense, 2θ from 15° to 90°, low angle first)
Position (°2θ), intensity, hkl
17.15, 24, 0 1 1
18.89, 100, 0 1 -2
25.13, 37, 2 0 -1
28.02, 45, 0 1 -3
29.44, 28, -2 1 2
30.33, 63, 0 3 -1
33.65, 24, 1 -1 3
34.73, 36, 0 2 2

a = 7.290 Å, b = 9.091 Å, c = 9.811 Å
α = 107.30°, β = 103.15°, γ = 102.97°
Sites, in units of the cell vectors:
Mn (0.015, 0.310, 0.430)
Mn (0.040, 0.465, 0.778)
Mn (0.044, 0.094, 0.661)
Mn (0.214, 0.178, 0.090)
Mn (0.313, 0.878, 0.943)
Mn (0.687, 0.122, 0.057)
Mn (0.786, 0.822, 0.910)
Mn (0.956, 0.906, 0.339)
Mn (0.960, 0.535, 0.222)
Mn (0.985, 0.690, 0.570)
H (0.045, 0.977, 0.835)
H (0.083, 0.784, 0.130)
H (0.268, 0.602, 0.443)
H (0.311, 0.239, 0.375)
H (0.326, 0.658, 0.748)
H (0.383, 0.788, 0.048)
H (0.434, 0.936, 0.582)
H (0.491, 0.052, 0.345)
H (0.509, 0.948, 0.655)
H (0.566, 0.064, 0.418)
H (0.617, 0.212, 0.952)
H (0.674, 0.342, 0.252)
H (0.689, 0.761, 0.625)
H (0.732, 0.398, 0.557)
H (0.917, 0.216, 0.870)
H (0.955, 0.023, 0.165)
S (0.468, 0.410, 0.727)
S (0.532, 0.590, 0.273)
O (0.068, 0.836, 0.984)
O (0.070, 0.756, 0.221)
O (0.077, 0.900, 0.535)
O (0.128, 0.554, 0.438)
O (0.167, 0.060, 0.848)
O (0.181, 0.214, 0.301)
O (0.205, 0.682, 0.767)
O (0.238, 0.354, 0.678)
O (0.440, 0.081, 0.102)
O (0.456, 0.637, 0.147)
O (0.469, 0.408, 0.223)
O (0.483, 0.663, 0.410)
O (0.517, 0.337, 0.590)
O (0.531, 0.592, 0.777)
O (0.544, 0.363, 0.853)
O (0.560, 0.919, 0.898)
O (0.762, 0.646, 0.322)
O (0.795, 0.318, 0.233)
O (0.819, 0.786, 0.699)
O (0.833, 0.940, 0.152)
O (0.872, 0.446, 0.562)
O (0.923, 0.100, 0.465)
O (0.930, 0.244, 0.779)
O (0.932, 0.164, 0.016)